# 1
Computed PXRD pattern
Compound: Li3Co4SbO8
Radiation: Cu Kα, 1.54184 Å
Structure: a cell relaxed with GGA+U
Intensities are scaled so that the largest is 1000.

Principal peaks in the range 10° ≤ 2θ ≤ 80°, low angle first:
2θ = 17.9°, intensity 531, (1 1 0)
2θ = 18.0°, intensity 992, (2 0 -1)
2θ = 34.2°, intensity 319, (0 2 1)
2θ = 35.8°, intensity 192, (0 0 2)
2θ = 36.2°, intensity 369, (2 2 0)
2θ = 36.5°, intensity 182, (4 0 -2)
2θ = 41.4°, intensity 1000, (2 2 -2)
2θ = 43.2°, intensity 441, (4 0 0)
2θ = 61.0°, intensity 276, (2 2 2)
2θ = 61.9°, intensity 264, (6 2 -2)

Crystal structure
```
data_Li3Co4SbO8
_symmetry_space_group_name_H-M 'C 1 2/m 1'
_symmetry_Int_Tables_number 12
_symmetry_space_group_name_Hall '-C 2y'
_cell_length_a 10.3094
_cell_length_b 6.1606
_cell_length_c 6.1784
_cell_angle_alpha 90.00
_cell_angle_beta 125.74
_cell_angle_gamma 90.00
loop_
_atom_site_label
_atom_site_type_symbol
_atom_site_fract_x
_atom_site_fract_y
_atom_site_fract_z
Li1 Li 0.0000 0.0000 0.0000
Li2 Li 0.2500 0.2500 0.5000
Co1 Co 0.0000 0.0000 0.5000
Co2 Co 0.0000 0.5000 0.0000
Co3 Co 0.2500 0.2500 0.0000
Sb1 Sb 0.0000 0.5000 0.5000
O1 O 0.0039 0.2672 0.2715
O2 O 0.2402 0.5000 0.7447
O3 O 0.2501 0.0000 0.7692
```



# 2
Computed PXRD pattern
Compound: Rb2MoO8
Radiation: Cu Kα, 1.54184 Å
Structure: a cell relaxed with GGA+U
Intensities are scaled so that the largest is 1000.

Principal peaks in the range 10° ≤ 2θ ≤ 80°, low angle first:
2θ = 24.2°, intensity 771, (1 0 2)
2θ = 24.6°, intensity 471, (1 2 0)
2θ = 24.9°, intensity 525, (0 2 2)
2θ = 25.2°, intensity 1000, (2 0 -2)
2θ = 26.2°, intensity 436, (1 0 -4)
2θ = 34.8°, intensity 184, (2 2 0)
2θ = 35.8°, intensity 303, (0 2 4)
2θ = 36.7°, intensity 257, (2 2 -4)
2θ = 42.7°, intensity 319, (3 0 0)
2θ = 44.4°, intensity 157, (0 0 6)

Crystal structure
```
data_Rb2MoO8
_symmetry_space_group_name_H-M 'P 1 21/c 1'
_symmetry_Int_Tables_number 14
_symmetry_space_group_name_Hall '-P 2ybc'
_cell_length_a 7.0893
_cell_length_b 8.7951
_cell_length_c 13.6325
_cell_angle_alpha 90.00
_cell_angle_beta 116.19
_cell_angle_gamma 90.00
loop_
_atom_site_label
_atom_site_type_symbol
_atom_site_fract_x
_atom_site_fract_y
_atom_site_fract_z
Rb1 Rb 0.0083 0.0191 0.2689
Rb2 Rb 0.3445 0.1885 0.0929
Mo1 Mo 0.3208 0.7208 0.0845
O1 O 0.0820 0.6980 0.6093
O2 O 0.1510 0.7452 0.9217
O3 O 0.2036 0.5108 0.0774
O4 O 0.2855 0.6268 0.6836
O5 O 0.2886 0.6218 0.4718
O6 O 0.3578 0.5517 0.1895
O7 O 0.3676 0.2398 0.8406
O8 O 0.4262 0.1430 0.4271
```



# 3
Computed PXRD pattern
Compound: Li3FeP2O8
Radiation: Cu Kα, 1.54184 Å
Structure: a cell relaxed with GGA+U
Intensities are scaled so that the largest is 1000.

Principal peaks in the range 10° ≤ 2θ ≤ 80°, low angle first:
2θ = 17.0°, intensity 1000, (0 1 1)
2θ = 24.1°, intensity 624, (1 1 0)
2θ = 24.4°, intensity 365, (0 2 1)
2θ = 25.6°, intensity 535, (1 1 -2)
2θ = 29.9°, intensity 260, (1 2 0)
2θ = 31.2°, intensity 261, (1 2 -2)
2θ = 33.5°, intensity 287, (1 1 1)
2θ = 34.3°, intensity 592, (0 2 2)
2θ = 35.6°, intensity 509, (1 3 -1)
2θ = 38.0°, intensity 368, (2 1 -2)

Crystal structure
```
data_Li3FeP2O8
_symmetry_space_group_name_H-M 'P 1 21/c 1'
_symmetry_Int_Tables_number 14
_symmetry_space_group_name_Hall '-P 2ybc'
_cell_length_a 4.9217
_cell_length_b 8.8314
_cell_length_c 7.8539
_cell_angle_alpha 90.00
_cell_angle_beta 124.35
_cell_angle_gamma 90.00
loop_
_atom_site_label
_atom_site_type_symbol
_atom_site_fract_x
_atom_site_fract_y
_atom_site_fract_z
Li1 Li 0.0000 0.0000 0.0000
Li2 Li 0.3239 0.1400 0.8094
Fe1 Fe 0.5000 0.0000 0.5000
P1 P 0.1930 0.6811 0.2212
O1 O 0.1449 0.1315 0.4759
O2 O 0.1740 0.6434 0.7458
O3 O 0.2573 0.5983 0.4101
O4 O 0.4752 0.6445 0.1911
```



# 4
Computed PXRD pattern
Compound: Li9Co7O16
Radiation: Cu Kα, 1.54184 Å
Structure: a cell relaxed with GGA+U
Intensities are scaled so that the largest is 1000.

Principal peaks in the range 10° ≤ 2θ ≤ 80°, low angle first:
2θ = 18.3°, intensity 1000, (0 0 8)
2θ = 36.0°, intensity 153, (2 0 2)
2θ = 36.2°, intensity 269, (1 1 -3)
2θ = 37.7°, intensity 120, (2 0 -6)
2θ = 43.5°, intensity 276, (2 0 10)
2θ = 43.7°, intensity 545, (1 1 -11)
2θ = 47.6°, intensity 96, (1 1 13)
2θ = 62.9°, intensity 150, (1 1 21)
2θ = 63.9°, intensity 151, (3 1 -1)
2θ = 67.2°, intensity 95, (3 1 -9)

Crystal structure
```
data_Li9Co7O16
_symmetry_space_group_name_H-M 'C 1 2/m 1'
_symmetry_Int_Tables_number 12
_symmetry_space_group_name_Hall '-C 2y'
_cell_length_a 5.0534
_cell_length_b 2.9095
_cell_length_c 38.8511
_cell_angle_alpha 90.00
_cell_angle_beta 92.08
_cell_angle_gamma 90.00
loop_
_atom_site_label
_atom_site_type_symbol
_atom_site_fract_x
_atom_site_fract_y
_atom_site_fract_z
Li1 Li 0.0000 0.0000 0.0000
Li2 Li 0.0595 0.0000 0.1872
Li3 Li 0.0633 0.5000 0.6873
Li4 Li 0.1843 0.0000 0.5624
Li5 Li 0.1851 0.5000 0.0602
Co1 Co 0.0000 0.5000 0.5000
Co2 Co 0.1229 0.5000 0.8748
Co3 Co 0.1256 0.0000 0.3752
Co4 Co 0.2494 0.5000 0.2496
O1 O 0.0249 0.5000 0.5961
O2 O 0.0487 0.0000 0.0991
O3 O 0.1146 0.0000 0.2772
O4 O 0.1163 0.5000 0.7783
O5 O 0.1529 0.5000 0.9678
O6 O 0.1721 0.0000 0.4713
O7 O 0.2036 0.5000 0.1531
O8 O 0.2228 0.0000 0.6540
```